Entry 1:
For ErMg2Co9, a cell relaxed with PBE gives the computed powder diffraction line list in this record (Cu Kα, 1.54184 Å).
Intensities are scaled so that the largest is 100.

Largest 10 diffraction maxima, in order of falling intensity, 15° ≤ 2θ ≤ 90°:
| h k l | 2θ (°) | I/Imax |
| --- | --- | --- |
| 1 1 6 | 43.72 | 100 |
| 0 2 1 | 43.04 | 31 |
| 1 0 4 | 25.97 | 28 |
| 0 0 12 | 46.23 | 28 |
| 1 1 0 | 36.90 | 25 |
| 0 1 8 | 37.22 | 24 |
| 2 0 2 | 43.58 | 23 |
| 0 3 6 | 71.21 | 22 |
| 1 1 3 | 38.70 | 19 |
| 2 2 0 | 78.53 | 19 |

Structural model:
a b c (Å): 4.8723 4.8723 23.5667
angles (deg): 90.00 90.00 120.00
Space group R-3m (No. 166, hexagonal axes)
Inequivalent atoms, fractional coordinates:
Er1 0.0000 0.0000 0.0000 (multiplicity 3)
Mg1 0.0000 0.0000 0.1433 (multiplicity 6)
Co1 0.0000 0.0000 0.3361 (multiplicity 6)
Co2 0.0000 0.0000 0.5000 (multiplicity 3)
Co3 0.0072 0.5036 0.9156 (multiplicity 18)

---

Entry 2:
For PmSm2Br5, a cell relaxed with PBE gives the computed powder diffraction line list in this record (Cu Kα, 1.54184 Å).
Intensities are scaled so that the largest is 100.

Largest 10 diffraction maxima, in order of falling intensity, 15° ≤ 2θ ≤ 90°:
| h k l | 2θ (°) | I/Imax |
| --- | --- | --- |
| 2 0 2 | 28.76 | 100 |
| 1 1 2 | 26.95 | 69 |
| 0 5 1 | 36.52 | 64 |
| 4 2 1 | 33.56 | 51 |
| 2 1 0 | 15.38 | 50 |
| 1 2 0 | 15.18 | 48 |
| 4 4 0 | 39.28 | 46 |
| 1 3 1 | 24.91 | 44 |
| 1 5 0 | 34.91 | 42 |
| 2 4 2 | 40.00 | 42 |

Structural model:
a b c (Å): 12.824 13.115 7.096
angles (deg): 90.00 90.00 90.00
Space group Pnnm (No. 58)
Inequivalent atoms, fractional coordinates:
Pm1 0.214 0.201 0.000 (multiplicity 4)
Sm1 0.000 0.500 0.247 (multiplicity 4)
Sm2 0.102 0.103 0.500 (multiplicity 4)
Br1 0.058 0.281 0.254 (multiplicity 8)
Br2 0.137 0.879 0.500 (multiplicity 4)
Br3 0.164 0.590 0.000 (multiplicity 4)
Br4 0.187 0.505 0.500 (multiplicity 4)

---

Entry 3:
For Ca2Si7Rh12, a cell relaxed with PBE gives the computed powder diffraction line list in this record (Cu Kα, 1.54184 Å).
Intensities are scaled so that the largest is 100.

Largest 10 diffraction maxima, in order of falling intensity, 15° ≤ 2θ ≤ 90°:
| h k l | 2θ (°) | I/Imax |
| --- | --- | --- |
| 1 2 1 | 36.53 | 100 |
| 2 3 0 | 46.87 | 26 |
| 4 -3 1 | 45.28 | 22 |
| 1 1 0 | 18.19 | 21 |
| 0 0 2 | 47.12 | 18 |
| 4 1 0 | 49.43 | 15 |
| 2 3 2 | 68.65 | 14 |
| 1 2 0 | 27.94 | 13 |
| 3 5 1 | 84.02 | 13 |
| 4 0 1 | 49.18 | 12 |

Structural model:
a b c (Å): 9.7558 9.7558 3.8578
angles (deg): 90.00 90.00 120.00
Space group P-3 (No. 147)
Inequivalent atoms, fractional coordinates:
Ca1 0.3333 0.6667 0.2484 (multiplicity 2)
Si1 0.0000 0.0000 0.0000 (multiplicity 1)
Si2 0.1082 0.3989 0.7495 (multiplicity 6)
Rh1 0.0624 0.6197 0.7486 (multiplicity 6)
Rh2 0.1185 0.8588 0.2460 (multiplicity 6)

---

Entry 4:
For Cu3C, a cell relaxed with PBE gives the computed powder diffraction line list in this record (Cu Kα, 1.54184 Å).
Intensities are scaled so that the largest is 100.

Largest 10 diffraction maxima, in order of falling intensity, 15° ≤ 2θ ≤ 90°:
| h k l | 2θ (°) | I/Imax |
| --- | --- | --- |
| 1 1 1 | 40.80 | 100 |
| 1 0 0 | 23.22 | 57 |
| 2 0 0 | 47.47 | 57 |
| 2 2 0 | 69.39 | 33 |
| 3 1 1 | 83.75 | 32 |
| 1 1 0 | 33.07 | 24 |
| 2 1 0 | 53.49 | 20 |
| 2 2 2 | 88.40 | 11 |
| 2 1 1 | 59.07 | 9 |
| 3 0 0 | 74.28 | 8 |

Structural model:
a b c (Å): 3.831 3.831 3.831
angles (deg): 90.00 90.00 90.00
Space group Pm-3m (No. 221)
Inequivalent atoms, fractional coordinates:
Cu1 0.000 0.000 0.500 (multiplicity 3)
C1 0.000 0.000 0.000 (multiplicity 1)

---

Entry 5:
For Li7InCu2, a cell relaxed with PBE gives the computed powder diffraction line list in this record (Cu Kα, 1.54184 Å).
Intensities are scaled so that the largest is 100.

Largest 10 diffraction maxima, in order of falling intensity, 15° ≤ 2θ ≤ 90°:
| h k l | 2θ (°) | I/Imax |
| --- | --- | --- |
| 1 1 1 | 23.63 | 100 |
| 0 2 1 | 23.93 | 89 |
| 1 3 0 | 24.94 | 83 |
| 2 2 1 | 34.20 | 72 |
| 2 0 0 | 24.07 | 64 |
| 1 5 1 | 43.49 | 56 |
| 1 3 2 | 46.36 | 30 |
| 3 1 1 | 42.07 | 27 |
| 3 3 0 | 42.88 | 26 |
| 0 0 2 | 38.43 | 24 |

Structural model:
a b c (Å): 7.395 12.233 4.684
angles (deg): 90.00 90.00 90.00
Space group Cmmm (No. 65)
Inequivalent atoms, fractional coordinates:
Li1 0.000 0.000 0.000 (multiplicity 2)
Li2 0.000 0.250 0.500 (multiplicity 4)
Li3 0.179 0.379 0.000 (multiplicity 8)
In1 0.000 0.500 0.500 (multiplicity 2)
Cu1 0.000 0.201 0.000 (multiplicity 4)

---

Entry 6:
For LiYSc, a cell relaxed with PBE gives the computed powder diffraction line list in this record (Cu Kα, 1.54184 Å).
Intensities are scaled so that the largest is 100.

Largest 10 diffraction maxima, in order of falling intensity, 15° ≤ 2θ ≤ 90°:
| h k l | 2θ (°) | I/Imax |
| --- | --- | --- |
| 0 1 1 | 32.68 | 100 |
| 1 0 2 | 38.09 | 65 |
| 1 0 0 | 30.69 | 26 |
| 0 0 3 | 33.28 | 25 |
| 0 1 4 | 55.36 | 21 |
| 0 0 2 | 22.01 | 20 |
| 1 1 3 | 65.42 | 19 |
| 1 1 0 | 54.56 | 17 |
| 0 1 3 | 45.90 | 16 |
| 2 0 1 | 65.06 | 12 |

Structural model:
a b c (Å): 3.3641 3.3641 8.0768
angles (deg): 90.00 90.00 120.00
Space group P3m1 (No. 156)
Inequivalent atoms, fractional coordinates:
Li1 0.0000 0.0000 0.0000 (multiplicity 1)
Y1 0.6667 0.3333 0.6534 (multiplicity 1)
Sc1 0.3333 0.6667 0.3201 (multiplicity 1)

---

Entry 7:
For Cs5TlI8, a cell relaxed with PBE gives the computed powder diffraction line list in this record (Cu Kα, 1.54184 Å).
Intensities are scaled so that the largest is 100.

Largest 10 diffraction maxima, in order of falling intensity, 15° ≤ 2θ ≤ 90°:
| h k l | 2θ (°) | I/Imax |
| --- | --- | --- |
| 3 0 1 | 24.13 | 100 |
| 2 3 1 | 28.59 | 87 |
| 1 0 3 | 25.46 | 84 |
| 1 3 2 | 29.02 | 80 |
| 1 3 0 | 23.96 | 65 |
| 2 1 3 | 29.72 | 59 |
| 6 1 1 | 47.85 | 31 |
| 4 2 2 | 37.98 | 26 |
| 4 0 2 | 34.64 | 25 |
| 2 1 1 | 18.73 | 24 |

Structural model:
a b c (Å): 11.743 11.743 10.996
angles (deg): 90.00 90.00 90.00
Space group I-4 (No. 82)
Inequivalent atoms, fractional coordinates:
Cs1 0.000 0.000 0.000 (multiplicity 2)
Cs2 0.129 0.276 0.628 (multiplicity 8)
Tl1 0.000 0.500 0.250 (multiplicity 2)
I1 0.057 0.127 0.314 (multiplicity 8)
I2 0.085 0.331 0.989 (multiplicity 8)

---

Entry 8:
For Na3WBr7, a cell relaxed with PBE gives the computed powder diffraction line list in this record (Cu Kα, 1.54184 Å).
Intensities are scaled so that the largest is 100.

Largest 10 diffraction maxima, in order of falling intensity, 15° ≤ 2θ ≤ 90°:
| h k l | 2θ (°) | I/Imax |
| --- | --- | --- |
| 2 4 2 | 36.19 | 100 |
| 1 1 2 | 21.14 | 91 |
| 2 2 0 | 21.98 | 74 |
| 3 3 0 | 33.20 | 60 |
| 1 3 0 | 20.87 | 36 |
| 0 0 4 | 36.54 | 34 |
| 0 0 2 | 18.01 | 33 |
| 0 2 3 | 30.04 | 27 |
| 1 3 4 | 42.47 | 27 |
| 3 3 4 | 50.20 | 25 |

Structural model:
a b c (Å): 9.866 14.155 9.835
angles (deg): 90.00 90.00 90.00
Space group C222_1 (No. 20)
Inequivalent atoms, fractional coordinates:
Na1 0.003 0.000 0.000 (multiplicity 4)
Na2 0.240 0.280 0.750 (multiplicity 8)
W1 0.000 0.500 0.000 (multiplicity 4)
Br1 0.000 0.123 0.250 (multiplicity 4)
Br2 0.000 0.162 0.750 (multiplicity 4)
Br3 0.000 0.439 0.750 (multiplicity 4)
Br4 0.181 0.378 0.043 (multiplicity 8)
Br5 0.183 0.379 0.458 (multiplicity 8)

---

Entry 9:
For AlCdSn, a cell relaxed with PBE gives the computed powder diffraction line list in this record (Cu Kα, 1.54184 Å).
Intensities are scaled so that the largest is 100.

Largest 10 diffraction maxima, in order of falling intensity, 15° ≤ 2θ ≤ 90°:
| h k l | 2θ (°) | I/Imax |
| --- | --- | --- |
| 0 2 1 | 32.75 | 100 |
| 1 1 1 | 32.21 | 52 |
| 2 2 -1 | 33.01 | 51 |
| 2 0 -2 | 31.43 | 37 |
| 4 2 -3 | 57.17 | 26 |
| 3 1 0 | 40.40 | 21 |
| 1 3 0 | 41.25 | 19 |
| 4 0 -2 | 41.12 | 16 |
| 1 1 0 | 17.95 | 15 |
| 1 3 2 | 64.96 | 13 |

Structural model:
a b c (Å): 8.986 6.905 5.694
angles (deg): 90.00 128.03 90.00
Space group C2 (No. 5)
Inequivalent atoms, fractional coordinates:
Al1 0.000 0.000 0.000 (multiplicity 2)
Al2 0.000 0.000 0.500 (multiplicity 2)
Cd1 0.159 0.659 0.408 (multiplicity 4)
Sn1 0.152 0.352 0.900 (multiplicity 4)

---

Entry 10:
For Ta3NiAg, a cell relaxed with PBE gives the computed powder diffraction line list in this record (Cu Kα, 1.54184 Å).
Intensities are scaled so that the largest is 100.

Largest 10 diffraction maxima, in order of falling intensity, 15° ≤ 2θ ≤ 90°:
| h k l | 2θ (°) | I/Imax |
| --- | --- | --- |
| 1 1 1 | 33.68 | 100 |
| 2 0 0 | 39.09 | 75 |
| 2 2 0 | 56.47 | 51 |
| 3 1 1 | 67.39 | 41 |
| 2 2 2 | 70.82 | 17 |
| 1 0 0 | 19.26 | 15 |
| 4 0 0 | 83.99 | 8 |
| 2 1 0 | 43.93 | 7 |
| 3 0 0 | 60.24 | 4 |
| 4 1 0 | 87.21 | 2 |

Structural model:
a b c (Å): 4.609 4.609 4.609
angles (deg): 90.00 90.00 90.00
Space group Pm-3m (No. 221)
Inequivalent atoms, fractional coordinates:
Ta1 0.000 0.000 0.500 (multiplicity 3)
Ni1 0.000 0.000 0.000 (multiplicity 1)
Ag1 0.500 0.500 0.500 (multiplicity 1)

---

Entry 11:
For Rb4NdSb3O12, a cell relaxed with PBE gives the computed powder diffraction line list in this record (Cu Kα, 1.54184 Å).
Intensities are scaled so that the largest is 100.

Largest 10 diffraction maxima, in order of falling intensity, 15° ≤ 2θ ≤ 90°:
| h k l | 2θ (°) | I/Imax |
| --- | --- | --- |
| 2 2 0 | 29.79 | 100 |
| 4 2 2 | 52.87 | 40 |
| 4 0 0 | 42.63 | 32 |
| 6 4 2 | 85.69 | 21 |
| 4 4 0 | 61.87 | 20 |
| 6 2 0 | 70.16 | 18 |
| 2 0 0 | 20.94 | 11 |
| 4 4 4 | 78.04 | 6 |
| 4 2 0 | 47.96 | 4 |
| 6 0 0 | 66.08 | 2 |

Structural model:
a b c (Å): 8.483 8.483 8.483
angles (deg): 90.00 90.00 90.00
Space group Im-3m (No. 229)
Inequivalent atoms, fractional coordinates:
Rb1 0.250 0.250 0.250 (multiplicity 8)
Nd1 0.000 0.000 0.000 (multiplicity 2)
Sb1 0.000 0.000 0.500 (multiplicity 6)
O1 0.000 0.000 0.273 (multiplicity 12)
O2 0.000 0.250 0.500 (multiplicity 12)

---

Entry 12:
For DyTl5Te5, a cell relaxed with PBE gives the computed powder diffraction line list in this record (Cu Kα, 1.54184 Å).
Intensities are scaled so that the largest is 100.

Largest 10 diffraction maxima, in order of falling intensity, 15° ≤ 2θ ≤ 90°:
| h k l | 2θ (°) | I/Imax |
| --- | --- | --- |
| 2 0 2 | 26.32 | 100 |
| 4 0 -2 | 26.09 | 98 |
| 0 2 0 | 28.59 | 87 |
| 2 2 2 | 39.25 | 70 |
| 4 2 -2 | 39.09 | 67 |
| 3 1 0 | 23.35 | 47 |
| 2 2 -4 | 47.65 | 43 |
| 2 0 -4 | 37.30 | 36 |
| 6 2 0 | 47.81 | 35 |
| 6 0 0 | 37.48 | 35 |

Structural model:
a b c (Å): 15.221 6.244 9.643
angles (deg): 90.00 108.95 90.00
Space group C2/m (No. 12)
Inequivalent atoms, fractional coordinates:
Dy1 0.000 0.000 0.000 (multiplicity 2)
Tl1 0.000 0.000 0.500 (multiplicity 2)
Tl2 0.179 0.500 0.312 (multiplicity 4)
Tl3 0.182 0.500 0.855 (multiplicity 4)
Te1 0.000 0.500 0.000 (multiplicity 2)
Te2 0.151 0.000 0.841 (multiplicity 4)
Te3 0.155 0.000 0.311 (multiplicity 4)